# NdHo4Sc3
Computed powder diffractogram, copper Kα. Input: a cell relaxed with PBE.
Peak positions follow from Bragg's law for the DFT cell and can differ from measured ones.

Peak list (6 most intense, 2θ = 10–90°, by angle)
2theta, intensity
12.56, 21.1
29.32, 23.0
32.77, 35.2
33.69, 100.0
33.82, 46.9
59.11, 28.6

Crystal structure
```
NdHo4Sc3
1.0
10.9328 0.0000 0.0000
0.0000 7.0455 0.0000
0.0000 0.0000 6.0616
Nd Ho Sc
2 8 6
Direct
0.0000 0.1187 0.0000
0.5000 0.8813 0.5000
0.0000 0.3705 0.4967
0.0000 0.6311 0.9914
0.2456 0.6306 0.3364
0.2544 0.3694 0.8364
0.5000 0.3689 0.4914
0.5000 0.6295 0.9967
0.7456 0.3694 0.8364
0.7544 0.6306 0.3364
0.0000 0.8775 0.5017
0.2488 0.1202 0.3302
0.2512 0.8798 0.8302
0.5000 0.1225 0.0017
0.7488 0.8798 0.8302
0.7512 0.1202 0.3302
```